1.
The following is a theoretical powder X-ray diffraction pattern of CeAl4Ni15. It was derived from a crystal structure in Alexandria, relaxed with PBE, using a wavelength of 1.5418 Å.

Principal peaks in the range 10 to 90 degrees two-theta, by angle:
2.093 Å, 43.22 deg, rel. 100.0
1.836 Å, 49.67 deg, rel. 34.9
1.770 Å, 51.65 deg, rel. 11.7
1.298 Å, 72.88 deg, rel. 10.3
1.274 Å, 74.48 deg, rel. 14.6
1.103 Å, 88.67 deg, rel. 22.7

Structural model:
Lattice parameters (Å, degrees): 3.671 3.671 17.696 90.00 90.00 90.00
Positions (direct):
Ce1 0.000 0.000 0.000
Al1 0.000 0.000 0.212
Al2 0.000 0.000 0.404
Al3 0.000 0.000 0.596
Al4 0.000 0.000 0.788
Ni1 0.000 0.500 0.114
Ni2 0.000 0.500 0.307
Ni3 0.000 0.500 0.500
Ni4 0.000 0.500 0.693
Ni5 0.000 0.500 0.886
Ni6 0.500 0.000 0.114
Ni7 0.500 0.000 0.307
Ni8 0.500 0.000 0.500
Ni9 0.500 0.000 0.693
Ni10 0.500 0.000 0.886
Ni11 0.500 0.500 0.000
Ni12 0.500 0.500 0.210
Ni13 0.500 0.500 0.404
Ni14 0.500 0.500 0.596
Ni15 0.500 0.500 0.790

=====

2.
The following is a theoretical powder X-ray diffraction pattern of CeAl4Ni4. It was derived from a crystal structure in Alexandria, relaxed with PBE, using a wavelength of 1.5418 Å.

Principal peaks in the range 10 to 90 degrees two-theta, by angle:
2.900 Å, 30.83 deg, rel. 69.0
2.738 Å, 32.71 deg, rel. 33.8
2.477 Å, 36.27 deg, rel. 100.0
2.467 Å, 36.41 deg, rel. 53.0
1.836 Å, 49.65 deg, rel. 47.3
1.580 Å, 58.42 deg, rel. 41.9

Structural model:
Lattice parameters (Å, degrees): 5.811 5.811 8.175 90.00 90.00 90.00
Positions (direct):
Ce1 0.250 0.750 0.250
Ce2 0.750 0.250 0.750
Al1 0.013 0.250 0.145
Al2 0.250 0.013 0.645
Al3 0.250 0.487 0.645
Al4 0.487 0.250 0.145
Al5 0.513 0.750 0.855
Al6 0.750 0.513 0.355
Al7 0.750 0.987 0.355
Al8 0.987 0.750 0.855
Ni1 0.041 0.250 0.447
Ni2 0.250 0.041 0.947
Ni3 0.250 0.459 0.947
Ni4 0.459 0.250 0.447
Ni5 0.541 0.750 0.553
Ni6 0.750 0.541 0.053
Ni7 0.750 0.959 0.053
Ni8 0.959 0.750 0.553

=====

3.
The following is a theoretical powder X-ray diffraction pattern of Ce3NpAl8. It was derived from a crystal structure in Alexandria, relaxed with PBE, using a wavelength of 1.5418 Å.

Principal peaks in the range 10 to 90 degrees two-theta, by angle:
4.914 Å, 18.05 deg, rel. 48.7
4.287 Å, 20.72 deg, rel. 69.9
2.837 Å, 31.53 deg, rel. 79.6
2.513 Å, 35.73 deg, rel. 100.0
2.366 Å, 38.03 deg, rel. 44.9
1.568 Å, 58.91 deg, rel. 45.3

Structural model:
Lattice parameters (Å, degrees): 5.674 5.674 8.773 90.00 90.00 120.00
Positions (direct):
Ce1 0.000 0.000 0.000
Ce2 0.000 0.000 0.336
Ce3 0.333 0.667 0.817
Np1 0.333 0.667 0.506
Al1 0.014 0.507 0.168
Al2 0.320 0.160 0.663
Al3 0.493 0.507 0.168
Al4 0.493 0.986 0.168
Al5 0.667 0.333 0.417
Al6 0.667 0.333 0.915
Al7 0.840 0.160 0.663
Al8 0.840 0.680 0.663

=====

4.
The following is a theoretical powder X-ray diffraction pattern of CeAl4O7. It was derived from a crystal structure in Alexandria, relaxed with PBE, using a wavelength of 1.5418 Å.

Principal peaks in the range 10 to 90 degrees two-theta, by angle:
5.271 Å, 16.82 deg, rel. 54.5
4.651 Å, 19.08 deg, rel. 42.6
3.487 Å, 25.54 deg, rel. 100.0
3.259 Å, 27.36 deg, rel. 72.6
3.159 Å, 28.25 deg, rel. 71.7
2.754 Å, 32.51 deg, rel. 54.5

Structural model:
Lattice parameters (Å, degrees): 12.922 5.271 4.985 90.00 90.00 90.00
Positions (direct):
Ce1 0.000 0.098 0.000
Ce2 0.500 0.902 0.500
Al1 0.120 0.668 0.436
Al2 0.249 0.169 0.418
Al3 0.251 0.831 0.918
Al4 0.380 0.332 0.936
Al5 0.620 0.332 0.936
Al6 0.749 0.831 0.918
Al7 0.751 0.169 0.418
Al8 0.880 0.668 0.436
O1 0.000 0.777 0.310
O2 0.128 0.775 0.772
O3 0.138 0.348 0.346
O4 0.217 0.864 0.268
O5 0.283 0.136 0.768
O6 0.362 0.652 0.846
O7 0.372 0.225 0.272
O8 0.500 0.223 0.810
O9 0.628 0.225 0.272
O10 0.638 0.652 0.846
O11 0.717 0.136 0.768
O12 0.783 0.864 0.268
O13 0.862 0.348 0.346
O14 0.872 0.775 0.772

=====

5.
The following is a theoretical powder X-ray diffraction pattern of CeAl8O16. It was derived from a crystal structure in Alexandria, relaxed with PBE, using a wavelength of 1.5418 Å.

Principal peaks in the range 10 to 90 degrees two-theta, by angle:
7.145 Å, 12.39 deg, rel. 56.9
3.659 Å, 24.32 deg, rel. 47.9
3.630 Å, 24.52 deg, rel. 45.4
3.549 Å, 25.09 deg, rel. 38.7
3.474 Å, 25.64 deg, rel. 38.5
2.559 Å, 35.07 deg, rel. 100.0

Structural model:
Lattice parameters (Å, degrees): 3.582 3.659 28.579 90.00 90.00 90.00
Positions (direct):
Ce1 0.000 0.000 0.000
Al1 0.500 0.500 0.074
Al2 0.500 0.500 0.195
Al3 0.500 0.500 0.316
Al4 0.500 0.500 0.439
Al5 0.500 0.500 0.562
Al6 0.500 0.500 0.684
Al7 0.500 0.500 0.805
Al8 0.500 0.500 0.926
O1 0.000 0.500 0.062
O2 0.000 0.500 0.315
O3 0.000 0.500 0.439
O4 0.000 0.500 0.561
O5 0.000 0.500 0.938
O6 0.500 0.000 0.061
O7 0.500 0.000 0.686
O8 0.500 0.000 0.938
O9 0.500 0.500 0.000
O10 0.500 0.500 0.139
O11 0.500 0.500 0.252
O12 0.500 0.500 0.378
O13 0.500 0.500 0.501
O14 0.500 0.500 0.624
O15 0.500 0.500 0.748
O16 0.500 0.500 0.861

=====

6.
The following is a theoretical powder X-ray diffraction pattern of CeAlPO2. It was derived from a crystal structure in Alexandria, relaxed with PBE, using a wavelength of 1.5418 Å.

Principal peaks in the range 10 to 90 degrees two-theta, by angle:
3.847 Å, 23.12 deg, rel. 100.0
3.573 Å, 24.92 deg, rel. 34.1
3.108 Å, 28.72 deg, rel. 46.9
2.671 Å, 33.55 deg, rel. 34.7
2.218 Å, 40.69 deg, rel. 44.9
1.947 Å, 46.65 deg, rel. 36.7

Structural model:
Lattice parameters (Å, degrees): 6.302 6.302 5.223 90.00 90.00 128.98
Positions (direct):
Ce1 0.134 0.866 0.750
Ce2 0.866 0.134 0.250
Al1 0.480 0.520 0.250
Al2 0.520 0.480 0.750
P1 0.262 0.738 0.250
P2 0.738 0.262 0.750
O1 0.265 0.265 0.000
O2 0.265 0.265 0.500
O3 0.735 0.735 0.000
O4 0.735 0.735 0.500

=====

7.
The following is a theoretical powder X-ray diffraction pattern of Ce2ScAlO6. It was derived from a crystal structure in Alexandria, relaxed with PBE, using a wavelength of 1.5418 Å.

Principal peaks in the range 10 to 90 degrees two-theta, by angle:
3.931 Å, 22.62 deg, rel. 27.2
2.771 Å, 32.31 deg, rel. 100.0
2.260 Å, 39.88 deg, rel. 20.8
1.965 Å, 46.19 deg, rel. 26.7
1.600 Å, 57.61 deg, rel. 22.7
1.385 Å, 67.62 deg, rel. 19.6

Structural model:
Lattice parameters (Å, degrees): 5.543 7.814 5.575 90.00 90.00 90.00
Positions (direct):
Ce1 0.250 0.003 0.227
Ce2 0.250 0.497 0.227
Ce3 0.750 0.503 0.773
Ce4 0.750 0.997 0.773
Sc1 0.250 0.250 0.734
Sc2 0.750 0.750 0.266
Al1 0.250 0.750 0.756
Al2 0.750 0.250 0.244
O1 0.007 0.750 0.525
O2 0.012 0.750 0.002
O3 0.250 0.510 0.774
O4 0.250 0.990 0.774
O5 0.488 0.750 0.002
O6 0.493 0.750 0.525
O7 0.507 0.250 0.475
O8 0.512 0.250 0.998
O9 0.750 0.010 0.226
O10 0.750 0.490 0.226
O11 0.988 0.250 0.998
O12 0.993 0.250 0.475

=====

8.
The following is a theoretical powder X-ray diffraction pattern of SrCeAlO4. It was derived from a crystal structure in Alexandria, relaxed with PBE, using a wavelength of 1.5418 Å.

Principal peaks in the range 10 to 90 degrees two-theta, by angle:
3.607 Å, 24.68 deg, rel. 52.0
2.792 Å, 32.06 deg, rel. 100.0
2.665 Å, 33.63 deg, rel. 71.3
2.026 Å, 44.74 deg, rel. 50.7
1.884 Å, 48.30 deg, rel. 38.7
1.562 Å, 59.15 deg, rel. 36.7

Structural model:
Lattice parameters (Å, degrees): 3.769 3.769 12.469 90.00 90.00 90.00
Positions (direct):
Sr1 0.000 0.000 0.000
Sr2 0.500 0.500 0.500
Ce1 0.000 0.000 0.713
Ce2 0.500 0.500 0.213
Al1 0.000 0.000 0.359
Al2 0.500 0.500 0.859
O1 0.000 0.000 0.196
O2 0.000 0.000 0.523
O3 0.000 0.500 0.351
O4 0.000 0.500 0.851
O5 0.500 0.000 0.351
O6 0.500 0.000 0.851
O7 0.500 0.500 0.023
O8 0.500 0.500 0.696

=====

9.
The following is a theoretical powder X-ray diffraction pattern of Ce4AlOs4. It was derived from a crystal structure in Alexandria, relaxed with PBE, using a wavelength of 1.5418 Å.

Principal peaks in the range 10 to 90 degrees two-theta, by angle:
2.779 Å, 32.21 deg, rel. 100.0
2.690 Å, 33.31 deg, rel. 43.9
1.965 Å, 46.19 deg, rel. 26.0
1.933 Å, 47.02 deg, rel. 70.4
1.587 Å, 58.13 deg, rel. 26.4
1.211 Å, 79.12 deg, rel. 15.4

Structural model:
Lattice parameters (Å, degrees): 6.772 6.772 6.772 99.08 99.08 133.20
Positions (direct):
Ce1 0.089 0.304 0.394
Ce2 0.304 0.911 0.215
Ce3 0.696 0.089 0.785
Ce4 0.911 0.696 0.606
Al1 0.500 0.500 0.000
Os1 0.234 0.592 0.826
Os2 0.408 0.234 0.642
Os3 0.592 0.766 0.358
Os4 0.766 0.408 0.174

=====

10.
The following is a theoretical powder X-ray diffraction pattern of Ce3Al12Os4. It was derived from a crystal structure in Alexandria, relaxed with PBE, using a wavelength of 1.5418 Å.

Principal peaks in the range 10 to 90 degrees two-theta, by angle:
3.853 Å, 23.09 deg, rel. 38.5
3.000 Å, 29.78 deg, rel. 100.0
2.456 Å, 36.58 deg, rel. 21.5
2.391 Å, 37.61 deg, rel. 22.8
2.224 Å, 40.56 deg, rel. 55.1
1.629 Å, 56.50 deg, rel. 28.8

Structural model:
Lattice parameters (Å, degrees): 8.897 8.897 9.565 90.00 90.00 120.00
Positions (direct):
Ce1 0.194 0.387 0.250
Ce2 0.194 0.806 0.250
Ce3 0.387 0.194 0.750
Ce4 0.613 0.806 0.250
Ce5 0.806 0.194 0.750
Ce6 0.806 0.613 0.750
Al1 0.000 0.000 0.250
Al2 0.000 0.000 0.750
Al3 0.125 0.562 0.750
Al4 0.163 0.326 0.576
Al5 0.163 0.326 0.924
Al6 0.163 0.837 0.576
Al7 0.163 0.837 0.924
Al8 0.326 0.163 0.076
Al9 0.326 0.163 0.424
Al10 0.333 0.667 0.017
Al11 0.333 0.667 0.483
Al12 0.438 0.562 0.750
Al13 0.438 0.875 0.750
Al14 0.562 0.125 0.250
Al15 0.562 0.438 0.250
Al16 0.667 0.333 0.517
Al17 0.667 0.333 0.983
Al18 0.674 0.837 0.576
Al19 0.674 0.837 0.924
Al20 0.837 0.163 0.076
Al21 0.837 0.163 0.424
Al22 0.837 0.674 0.076
Al23 0.837 0.674 0.424
Al24 0.875 0.438 0.250
Os1 0.000 0.000 0.000
Os2 0.000 0.000 0.500
Os3 0.000 0.500 0.000
Os4 0.000 0.500 0.500
Os5 0.500 0.000 0.000
Os6 0.500 0.000 0.500
Os7 0.500 0.500 0.000
Os8 0.500 0.500 0.500

=====

11.
The following is a theoretical powder X-ray diffraction pattern of Ce3AlOs3. It was derived from a crystal structure in Alexandria, relaxed with PBE, using a wavelength of 1.5418 Å.

Principal peaks in the range 10 to 90 degrees two-theta, by angle:
2.783 Å, 32.16 deg, rel. 71.7
2.672 Å, 33.54 deg, rel. 78.3
2.663 Å, 33.65 deg, rel. 100.0
2.240 Å, 40.27 deg, rel. 74.4
1.926 Å, 47.20 deg, rel. 87.8
1.886 Å, 48.24 deg, rel. 57.7

Structural model:
Lattice parameters (Å, degrees): 7.716 7.716 5.327 90.00 90.00 92.33
Positions (direct):
Ce1 0.117 0.883 0.750
Ce2 0.166 0.370 0.750
Ce3 0.370 0.166 0.250
Ce4 0.630 0.834 0.750
Ce5 0.834 0.630 0.250
Ce6 0.883 0.117 0.250
Al1 0.399 0.601 0.250
Al2 0.601 0.399 0.750
Os1 0.128 0.429 0.250
Os2 0.162 0.838 0.250
Os3 0.429 0.128 0.750
Os4 0.571 0.872 0.250
Os5 0.838 0.162 0.750
Os6 0.872 0.571 0.750